Structure and theoretical powder diffraction line list of Ga3TcNi12 (a crystal structure in Alexandria, relaxed with GGA-PBE; copper Kα).
Neutral-atom scattering factors, no anomalous dispersion.

Principal peaks in the range 2θ = 15–90°, in order of rising 2θ:
index	2theta	d (Å)	I/Imax
1 0 0	24.9	3.582	1.0
1 1 0	35.4	2.533	0.8
1 1 4	43.8	2.068	100.0
2 0 0	50.9	1.793	31.4
0 0 8	51.1	1.787	15.4
2 2 0	74.9	1.268	9.2
2 0 8	75.0	1.266	18.1

Cell and atoms:
```
Ga3TcNi12
1.0
3.586 0.000 0.000
0.000 3.586 0.000
0.000 0.000 14.299
Ga Tc Ni
3 1 12
Direct
0.000 0.000 0.000
0.000 0.000 0.246
0.000 0.000 0.754
0.000 0.000 0.500
0.000 0.500 0.124
0.000 0.500 0.376
0.000 0.500 0.624
0.000 0.500 0.876
0.500 0.000 0.124
0.500 0.000 0.376
0.500 0.000 0.624
0.500 0.000 0.876
0.500 0.500 0.000
0.500 0.500 0.250
0.500 0.500 0.500
0.500 0.500 0.750
```